Record 1
Structure and computed PXRD pattern of AcGa4Sn (a GGA-PBE-relaxed structure; Cu Kα (weighted mean of Kα1 and Kα2)).
Kinematic intensities with the Lorentz-polarization factor, no thermal factor.

Structural model:
```
data_AcGa4Sn
_symmetry_space_group_name_H-M 'I 4/m m m'
_symmetry_Int_Tables_number 139
_symmetry_space_group_name_Hall '-I 4 2'
_cell_length_a 12.1961
_cell_length_b 12.1961
_cell_length_c 8.0639
_cell_angle_alpha 90.00
_cell_angle_beta 90.00
_cell_angle_gamma 90.00
loop_
_atom_site_label
_atom_site_type_symbol
_atom_site_fract_x
_atom_site_fract_y
_atom_site_fract_z
_atom_site_occupancy
Ac1 Ac 0.0000 0.0000 0.2429 1
Ac2 Ac 0.0000 0.5000 0.2500 1
Ga1 Ga 0.1110 0.2773 0.0000 1
Ga2 Ga 0.1803 0.1803 0.2915 1
Sn1 Sn 0.0000 0.2517 0.5000 1
```

Main lines, by angle (2θ from 15° to 90°):
- (2 0 2), 3.363 Å, 2θ 26.5, intensity 30.2
- (4 0 0), 3.049 Å, 2θ 29.3, intensity 28.7
- (2 2 2), 2.945 Å, 2θ 30.4, intensity 100.0
- (4 2 0), 2.727 Å, 2θ 32.8, intensity 45.5
- (5 0 1), 2.335 Å, 2θ 38.6, intensity 22.9
- (4 2 2), 2.259 Å, 2θ 39.9, intensity 14.2
- (0 0 4), 2.016 Å, 2θ 45.0, intensity 15.5
- (6 0 2), 1.815 Å, 2θ 50.3, intensity 23.3
- (6 2 2), 1.740 Å, 2θ 52.6, intensity 15.2
- (4 2 4), 1.621 Å, 2θ 56.8, intensity 18.1

***

Record 2
Structure and computed PXRD pattern of Ac3Ga4Sn2 (a GGA-PBE-relaxed structure; Cu Kα (weighted mean of Kα1 and Kα2)).
Kinematic intensities with the Lorentz-polarization factor, no thermal factor.

Structural model:
```
data_Ac3Ga4Sn2
_symmetry_space_group_name_H-M 'C 1 2/m 1'
_symmetry_Int_Tables_number 12
_cell_length_a 12.4089
_cell_length_b 4.5153
_cell_length_c 9.1785
_cell_angle_alpha 90.00
_cell_angle_beta 97.45
_cell_angle_gamma 90.00
loop_
_symmetry_equiv_pos_as_xyz
'x,y,z'
'-x,-y,-z'
'-x,y,-z'
'x,-y,z'
'x+1/2,y+1/2,z'
'-x+1/2,-y+1/2,-z'
'-x+1/2,y+1/2,-z'
'x+1/2,-y+1/2,z'
loop_
_atom_site_label
_atom_site_type_symbol
_atom_site_fract_x
_atom_site_fract_y
_atom_site_fract_z
_atom_site_occupancy
Ac1 Ac 0.0000 0.0000 0.0000 1
Ac2 Ac 0.1644 0.5000 0.6702 1
Ga1 Ga 0.0220 0.0000 0.3678 1
Ga2 Ga 0.2064 0.5000 0.0264 1
Sn1 Sn 0.1257 0.5000 0.2912 1
```

Main lines, by angle (2θ from 15° to 90°):
- (2 0 -2), 3.910 Å, 2θ 22.7, intensity 16.7
- (3 1 0), 3.035 Å, 2θ 29.4, intensity 100.0
- (4 0 2), 2.408 Å, 2θ 37.4, intensity 11.4
- (0 2 0), 2.257 Å, 2θ 39.9, intensity 37.1
- (3 1 3), 2.050 Å, 2θ 44.2, intensity 12.5
- (0 2 3), 1.811 Å, 2θ 50.4, intensity 22.9
- (4 2 2), 1.647 Å, 2θ 55.8, intensity 21.5
- (4 0 5), 1.485 Å, 2θ 62.6, intensity 10.6
- (3 3 0), 1.413 Å, 2θ 66.1, intensity 20.2
- (1 3 5), 1.146 Å, 2θ 84.5, intensity 6.8

***

Record 3
Structure and computed PXRD pattern of Ac4GaSn (a GGA-PBE-relaxed structure; Cu Kα (weighted mean of Kα1 and Kα2)).
Kinematic intensities with the Lorentz-polarization factor, no thermal factor.

Structural model:
```
data_Ac4GaSn
_symmetry_space_group_name_H-M 'P 4/m c c'
_symmetry_Int_Tables_number 124
_symmetry_space_group_name_Hall '-P 4 2c'
_cell_length_a 7.8769
_cell_length_b 7.8769
_cell_length_c 7.3774
_cell_angle_alpha 90.00
_cell_angle_beta 90.00
_cell_angle_gamma 90.00
loop_
_atom_site_label
_atom_site_type_symbol
_atom_site_fract_x
_atom_site_fract_y
_atom_site_fract_z
_atom_site_occupancy
Ac1 Ac 0.1680 0.3183 0.0000 1
Ga1 Ga 0.0000 0.0000 0.2500 1
Sn1 Sn 0.5000 0.5000 0.2500 1
```

Main lines, by angle (2θ from 15° to 90°):
- (2 0 0), 3.938 Å, 2θ 22.6, intensity 10.7
- (0 0 2), 3.689 Å, 2θ 24.1, intensity 21.2
- (2 1 1), 3.179 Å, 2θ 28.1, intensity 100.0
- (1 1 2), 3.075 Å, 2θ 29.0, intensity 16.2
- (2 0 2), 2.692 Å, 2θ 33.3, intensity 40.7
- (3 1 0), 2.491 Å, 2θ 36.1, intensity 22.5
- (2 1 3), 2.016 Å, 2θ 45.0, intensity 28.7
- (4 1 1), 1.849 Å, 2θ 49.3, intensity 29.6
- (3 3 2), 1.658 Å, 2θ 55.4, intensity 21.1
- (4 1 3), 1.509 Å, 2θ 61.5, intensity 15.6

***

Record 4
Structure and computed PXRD pattern of Ac5GaSn4 (a GGA-PBE-relaxed structure; Cu Kα (weighted mean of Kα1 and Kα2)).
Kinematic intensities with the Lorentz-polarization factor, no thermal factor.

Structural model:
```
data_Ac5GaSn4
_symmetry_space_group_name_H-M 'I 4'
_symmetry_Int_Tables_number 79
_cell_length_a 10.6154
_cell_length_b 10.6154
_cell_length_c 6.8132
_cell_angle_alpha 90.00
_cell_angle_beta 90.00
_cell_angle_gamma 90.00
loop_
_symmetry_equiv_pos_as_xyz
'x,y,z'
'-y,x,z'
'-x,-y,z'
'y,-x,z'
'x+1/2,y+1/2,z+1/2'
'-y+1/2,x+1/2,z+1/2'
'-x+1/2,-y+1/2,z+1/2'
'y+1/2,-x+1/2,z+1/2'
loop_
_atom_site_label
_atom_site_type_symbol
_atom_site_fract_x
_atom_site_fract_y
_atom_site_fract_z
_atom_site_occupancy
Ac1 Ac 0.0000 0.0000 0.0000 1
Ac2 Ac 0.0972 0.6949 0.3893 1
Ga1 Ga 0.0000 0.0000 0.5393 1
Sn1 Sn 0.1014 0.7090 0.8837 1
```

Main lines, by angle (2θ from 15° to 90°):
- (1 2 1), 3.895 Å, 2θ 22.8, intensity 30.0
- (0 0 2), 3.407 Å, 2θ 26.2, intensity 37.4
- (3 1 0), 3.357 Å, 2θ 26.6, intensity 100.0
- (3 1 2), 2.391 Å, 2θ 37.6, intensity 64.1
- (2 4 0), 2.374 Å, 2θ 37.9, intensity 39.6
- (2 4 2), 1.948 Å, 2θ 46.6, intensity 35.1
- (6 2 0), 1.678 Å, 2θ 54.7, intensity 13.8
- (6 2 2), 1.506 Å, 2θ 61.6, intensity 15.0
- (5 5 0), 1.501 Å, 2θ 61.8, intensity 19.1
- (5 5 2), 1.374 Å, 2θ 68.3, intensity 21.4

***

Record 5
Structure and computed PXRD pattern of Ac4Ga2Sn (a GGA-PBE-relaxed structure; Cu Kα (weighted mean of Kα1 and Kα2)).
Kinematic intensities with the Lorentz-polarization factor, no thermal factor.

Structural model:
```
data_Ac4Ga2Sn
_symmetry_space_group_name_H-M 'F d d d'
_symmetry_Int_Tables_number 70
_cell_length_a 10.2018
_cell_length_b 14.5245
_cell_length_c 14.5583
_cell_angle_alpha 90.00
_cell_angle_beta 90.00
_cell_angle_gamma 90.00
loop_
_symmetry_equiv_pos_as_xyz
'x,y,z'
'-x,-y,-z'
'-x+1/4,-y+1/4,z'
'x+1/4,y+1/4,-z'
'x,-y+1/4,-z+1/4'
'-x,y+1/4,z+1/4'
'-x+1/4,y,-z+1/4'
'x+1/4,-y,z+1/4'
'x,y+1/2,z+1/2'
'-x,-y+1/2,-z+1/2'
'-x+1/4,-y+3/4,z+1/2'
'x+1/4,y+3/4,-z+1/2'
'x,-y+3/4,-z+3/4'
'-x,y+3/4,z+3/4'
'-x+1/4,y+1/2,-z+3/4'
'x+1/4,-y+1/2,z+3/4'
'x+1/2,y,z+1/2'
'-x+1/2,-y,-z+1/2'
'-x+3/4,-y+1/4,z+1/2'
'x+3/4,y+1/4,-z+1/2'
'x+1/2,-y+1/4,-z+3/4'
'-x+1/2,y+1/4,z+3/4'
'-x+3/4,y,-z+3/4'
'x+3/4,-y,z+3/4'
'x+1/2,y+1/2,z'
'-x+1/2,-y+1/2,-z'
'-x+3/4,-y+3/4,z'
'x+3/4,y+3/4,-z'
'x+1/2,-y+3/4,-z+1/4'
'-x+1/2,y+3/4,z+1/4'
'-x+3/4,y+1/2,-z+1/4'
'x+3/4,-y+1/2,z+1/4'
loop_
_atom_site_label
_atom_site_type_symbol
_atom_site_fract_x
_atom_site_fract_y
_atom_site_fract_z
_atom_site_occupancy
Ac1 Ac 0.0611 0.2850 0.4646 1
Ga1 Ga 0.0000 0.0000 0.0000 1
Sn1 Sn 0.1250 0.1250 0.6250 1
```

Main lines, by angle (2θ from 15° to 90°):
- (0 2 2), 5.141 Å, 2θ 17.2, intensity 29.9
- (0 4 0), 3.635 Å, 2θ 24.5, intensity 56.3
- (2 2 2), 3.621 Å, 2θ 24.6, intensity 44.2
- (1 3 3), 3.249 Å, 2θ 27.5, intensity 81.6
- (3 1 1), 3.229 Å, 2θ 27.6, intensity 100.0
- (1 1 5), 2.746 Å, 2θ 32.6, intensity 78.6
- (0 4 4), 2.571 Å, 2θ 34.9, intensity 26.0
- (2 0 6), 2.188 Å, 2θ 41.3, intensity 58.5
- (4 2 4), 2.007 Å, 2θ 45.2, intensity 50.4
- (4 8 2), 1.450 Å, 2θ 64.2, intensity 30.3

***

Record 6
Structure and computed PXRD pattern of Ac4GaSn3 (a GGA-PBE-relaxed structure; Cu Kα (weighted mean of Kα1 and Kα2)).
Kinematic intensities with the Lorentz-polarization factor, no thermal factor.

Structural model:
```
data_Ac4GaSn3
_symmetry_space_group_name_H-M 'P m m 2'
_symmetry_Int_Tables_number 25
_cell_length_a 4.5283
_cell_length_b 4.9609
_cell_length_c 12.3294
_cell_angle_alpha 90.00
_cell_angle_beta 90.00
_cell_angle_gamma 90.00
loop_
_symmetry_equiv_pos_as_xyz
'x,y,z'
'-x,-y,z'
'-x,y,z'
'x,-y,z'
loop_
_atom_site_label
_atom_site_type_symbol
_atom_site_fract_x
_atom_site_fract_y
_atom_site_fract_z
_atom_site_occupancy
Ac1 Ac 0.0000 0.0000 0.0000 1
Ac2 Ac 0.0000 0.5000 0.4897 1
Ac3 Ac 0.5000 0.0000 0.7136 1
Ac4 Ac 0.5000 0.5000 0.2165 1
Ga1 Ga 0.0000 0.0000 0.2758 1
Sn1 Sn 0.0000 0.5000 0.7710 1
Sn2 Sn 0.5000 0.0000 0.4253 1
Sn3 Sn 0.5000 0.5000 0.9361 1
```

Main lines, by angle (2θ from 15° to 90°):
- (1 0 2), 3.649 Å, 2θ 24.4, intensity 21.5
- (1 1 1), 3.228 Å, 2θ 27.6, intensity 100.0
- (0 1 3), 3.165 Å, 2θ 28.2, intensity 39.5
- (0 0 4), 3.082 Å, 2θ 29.0, intensity 27.6
- (1 1 3), 2.594 Å, 2θ 34.6, intensity 52.9
- (1 0 4), 2.548 Å, 2θ 35.2, intensity 17.7
- (0 2 0), 2.480 Å, 2θ 36.2, intensity 27.5
- (2 0 0), 2.264 Å, 2θ 39.8, intensity 21.4
- (2 1 3), 1.841 Å, 2θ 49.5, intensity 17.4
- (2 2 0), 1.672 Å, 2θ 54.9, intensity 17.1

***

Record 7
Structure and computed PXRD pattern of AcGa2Sn2 (a GGA-PBE-relaxed structure; Cu Kα (weighted mean of Kα1 and Kα2)).
Kinematic intensities with the Lorentz-polarization factor, no thermal factor.

Structural model:
```
data_AcGa2Sn2
_symmetry_space_group_name_H-M 'I m m a'
_symmetry_Int_Tables_number 74
_symmetry_space_group_name_Hall '-I 2b 2'
_cell_length_a 4.5103
_cell_length_b 4.6352
_cell_length_c 25.7007
_cell_angle_alpha 90.00
_cell_angle_beta 90.00
_cell_angle_gamma 90.00
loop_
_atom_site_label
_atom_site_type_symbol
_atom_site_fract_x
_atom_site_fract_y
_atom_site_fract_z
_atom_site_occupancy
Ac1 Ac 0.0000 0.2500 0.1740 1
Ga1 Ga 0.0000 0.2500 0.6293 1
Ga2 Ga 0.0000 0.2500 0.7275 1
Sn1 Sn 0.0000 0.2500 0.4455 1
Sn2 Sn 0.0000 0.2500 0.9408 1
```

Main lines, by angle (2θ from 15° to 90°):
- (0 0 8), 3.213 Å, 2θ 27.8, intensity 12.0
- (1 1 4), 2.888 Å, 2θ 31.0, intensity 100.0
- (0 1 7), 2.878 Å, 2θ 31.1, intensity 20.4
- (1 0 9), 2.413 Å, 2θ 37.3, intensity 11.8
- (0 2 0), 2.318 Å, 2θ 38.9, intensity 20.8
- (2 0 0), 2.255 Å, 2θ 40.0, intensity 19.2
- (1 0 11), 2.075 Å, 2θ 43.6, intensity 10.2
- (2 2 0), 1.616 Å, 2θ 57.0, intensity 13.8
- (1 3 4), 1.425 Å, 2θ 65.5, intensity 14.8
- (3 1 4), 1.396 Å, 2θ 67.0, intensity 11.4

***

Record 8
Structure and computed PXRD pattern of AcTbYGa (a GGA-PBE-relaxed structure; Cu Kα (weighted mean of Kα1 and Kα2)).
Kinematic intensities with the Lorentz-polarization factor, no thermal factor.

Structural model:
```
data_AcTbYGa
_symmetry_space_group_name_H-M 'F -4 3 m'
_symmetry_Int_Tables_number 216
_symmetry_space_group_name_Hall 'F -4 2 3'
_cell_length_a 7.7731
_cell_length_b 7.7731
_cell_length_c 7.7731
_cell_angle_alpha 90.00
_cell_angle_beta 90.00
_cell_angle_gamma 90.00
loop_
_atom_site_label
_atom_site_type_symbol
_atom_site_fract_x
_atom_site_fract_y
_atom_site_fract_z
_atom_site_occupancy
Ac1 Ac 0.0000 0.0000 0.0000 1
Tb1 Tb 0.2500 0.2500 0.7500 1
Y1 Y 0.2500 0.2500 0.2500 1
Ga1 Ga 0.0000 0.0000 0.5000 1
```

Main lines, by angle (2θ from 15° to 90°):
- (1 1 1), 4.488 Å, 2θ 19.8, intensity 19.4
- (2 2 0), 2.748 Å, 2θ 32.6, intensity 100.0
- (3 1 1), 2.344 Å, 2θ 38.4, intensity 11.5
- (4 0 0), 1.943 Å, 2θ 46.7, intensity 18.4
- (3 3 1), 1.783 Å, 2θ 51.2, intensity 5.2
- (4 2 2), 1.587 Å, 2θ 58.1, intensity 38.4
- (5 1 1), 1.496 Å, 2θ 62.0, intensity 4.0
- (4 4 0), 1.374 Å, 2θ 68.3, intensity 11.8
- (6 2 0), 1.229 Å, 2θ 77.7, intensity 16.5
- (4 4 4), 1.122 Å, 2θ 86.8, intensity 4.2